Simulated XRD peak list
Compound: LiAcMoO4
Radiation: copper Kα
Structure: the GGA+U geometry in Alexandria

Principal peaks in the range 15° ≤ 2θ ≤ 90°, by angle:
2θ (°), Rel. int.
16.50, 100
27.64, 61
29.12, 38
31.59, 22
33.36, 26
35.33, 44
38.18, 19
38.84, 25
53.00, 25
57.07, 16

Atomic structure:
abc: 7.0150 7.0150 7.0150
angles: 124.47 109.71 95.55
Sites, in units of the cell vectors:
1 Li 0.2774 0.0274 0.2500
2 Li 0.7226 0.9726 0.7500
3 Ac 0.0000 0.5000 0.5000
4 Ac 0.5000 0.5000 0.0000
5 Mo 0.0000 0.0000 0.5000
6 Mo 0.0000 0.5000 0.0000
7 O 0.1626 0.2465 0.9161
8 O 0.1696 0.7535 0.4161
9 O 0.2199 0.2404 0.5204
10 O 0.2199 0.6995 0.9796
11 O 0.7801 0.3005 0.0204
12 O 0.7801 0.7596 0.4796
13 O 0.8304 0.2465 0.5839
14 O 0.8374 0.7535 0.0839